No. 1
This entry pairs a crystal structure of MnCoPSe with its simulated powder diffraction line list. Radiation: Cu Kα (weighted mean of Kα1 and Kα2). Structure: a GGA-PBE-relaxed structure.
Lines closer than 0.1° are merged.

Most intense lines, 2θ from 10° to 90°, in order of rising 2θ:
- 29.1°, I = 49.1
- 30.7°, I = 36.1
- 33.0°, I = 40.9
- 41.6°, I = 100.0
- 47.3°, I = 42.8
- 48.4°, I = 52.3

Structure:
Lattice parameters (Å, degrees): 3.0700 6.0362 6.0362 30.62 90.00 90.00
Atoms (fractional coordinates):
Mn (0.0000, 0.0000, 0.0000)
Co (0.5000, 0.1873, 0.1873)
P (0.0000, 0.6452, 0.6452)
Se (0.5000, 0.3922, 0.3922)


No. 2
This entry pairs a crystal structure of Pa2MnCo3 with its simulated powder diffraction line list. Radiation: Cu Kα (weighted mean of Kα1 and Kα2). Structure: a GGA-PBE-relaxed structure.
Lines closer than 0.1° are merged.

Most intense lines, 2θ from 10° to 90°, in order of rising 2θ:
- 21.5°, I = 55.4
- 35.2°, I = 84.1
- 36.4°, I = 81.4
- 41.6°, I = 54.1
- 42.1°, I = 100.0
- 43.1°, I = 45.6

Structure:
Lattice parameters (Å, degrees): 4.9475 4.9475 4.9475 62.06 62.06 62.06
Atoms (fractional coordinates):
Pa (0.1253, 0.1253, 0.1253)
Pa (0.8747, 0.8747, 0.8747)
Mn (0.5000, 0.5000, 0.5000)
Co (0.0000, 0.5000, 0.5000)
Co (0.5000, 0.0000, 0.5000)
Co (0.5000, 0.5000, 0.0000)


No. 3
This entry pairs a crystal structure of Mn2Co2Pb with its simulated powder diffraction line list. Radiation: Cu Kα (weighted mean of Kα1 and Kα2). Structure: a GGA-PBE-relaxed structure.
Lines closer than 0.1° are merged.

Most intense lines, 2θ from 10° to 90°, in order of rising 2θ:
- 23.8°, I = 67.5
- 38.5°, I = 100.0
- 40.0°, I = 37.9
- 40.2°, I = 33.3
- 51.1°, I = 32.1
- 51.3°, I = 31.7

Structure:
Lattice parameters (Å, degrees): 3.8951 2.9925 7.0333 90.00 105.87 90.00
Atoms (fractional coordinates):
Mn (0.1660, 0.0000, 0.3314)
Mn (0.8340, 0.0000, 0.6686)
Co (0.3108, 0.5000, 0.6225)
Co (0.6892, 0.5000, 0.3775)
Pb (0.5000, 0.5000, 0.0000)


No. 4
This entry pairs a crystal structure of Mn3CoPd12 with its simulated powder diffraction line list. Radiation: Cu Kα (weighted mean of Kα1 and Kα2). Structure: a GGA-PBE-relaxed structure.
Lines closer than 0.1° are merged.

Most intense lines, 2θ from 10° to 90°, in order of rising 2θ:
- 39.9°, I = 100.0
- 46.4°, I = 32.3
- 46.6°, I = 15.8
- 67.8°, I = 19.8
- 81.6°, I = 23.6
- 81.8°, I = 11.5

Structure:
Lattice parameters (Å, degrees): 3.9157 3.9157 15.6058 90.00 90.00 90.00
Atoms (fractional coordinates):
Mn (0.0000, 0.0000, 0.0000)
Mn (0.0000, 0.0000, 0.2512)
Mn (0.0000, 0.0000, 0.7488)
Co (0.0000, 0.0000, 0.5000)
Pd (0.0000, 0.5000, 0.1259)
Pd (0.0000, 0.5000, 0.3782)
Pd (0.0000, 0.5000, 0.6218)
Pd (0.0000, 0.5000, 0.8741)
Pd (0.5000, 0.0000, 0.1259)
Pd (0.5000, 0.0000, 0.3782)
Pd (0.5000, 0.0000, 0.6218)
Pd (0.5000, 0.0000, 0.8741)
Pd (0.5000, 0.5000, 0.0000)
Pd (0.5000, 0.5000, 0.2522)
Pd (0.5000, 0.5000, 0.5000)
Pd (0.5000, 0.5000, 0.7478)


No. 5
This entry pairs a crystal structure of PmMnCoSi2 with its simulated powder diffraction line list. Radiation: Cu Kα (weighted mean of Kα1 and Kα2). Structure: a GGA-PBE-relaxed structure.
Lines closer than 0.1° are merged.

Most intense lines, 2θ from 10° to 90°, in order of rising 2θ:
- 24.1°, I = 47.9
- 35.0°, I = 59.0
- 36.6°, I = 100.0
- 45.6°, I = 39.6
- 58.8°, I = 26.1
- 78.4°, I = 20.2

Structure:
Lattice parameters (Å, degrees): 5.7547 5.7547 5.7547 139.57 139.57 58.51
Atoms (fractional coordinates):
Pm (0.0000, 0.0000, 0.0000)
Mn (0.2500, 0.7500, 0.5000)
Co (0.7500, 0.2500, 0.5000)
Si (0.3716, 0.3716, 0.0000)
Si (0.6284, 0.6284, 0.0000)


No. 6
This entry pairs a crystal structure of MnCo5Pt6 with its simulated powder diffraction line list. Radiation: Cu Kα (weighted mean of Kα1 and Kα2). Structure: a GGA-PBE-relaxed structure.
Lines closer than 0.1° are merged.

Most intense lines, 2θ from 10° to 90°, in order of rising 2θ:
- 23.9°, I = 26.7
- 33.0°, I = 24.1
- 41.1°, I = 100.0
- 47.4°, I = 33.3
- 70.4°, I = 20.1
- 83.8°, I = 18.9

Structure:
Lattice parameters (Å, degrees): 4.6138 5.4244 6.5886 90.00 91.63 90.00
Atoms (fractional coordinates):
Mn (0.0000, 0.0000, 0.0000)
Co (0.0000, 0.5000, 0.0000)
Co (0.3340, 0.5000, 0.6703)
Co (0.3421, 0.0000, 0.6606)
Co (0.6579, 0.0000, 0.3394)
Co (0.6660, 0.5000, 0.3297)
Pt (0.1661, 0.2514, 0.3349)
Pt (0.1661, 0.7486, 0.3349)
Pt (0.5000, 0.2522, 0.0000)
Pt (0.5000, 0.7478, 0.0000)
Pt (0.8339, 0.2514, 0.6651)
Pt (0.8339, 0.7486, 0.6651)


No. 7
This entry pairs a crystal structure of MnCoPt with its simulated powder diffraction line list. Radiation: Cu Kα (weighted mean of Kα1 and Kα2). Structure: a GGA-PBE-relaxed structure.
Lines closer than 0.1° are merged.

Most intense lines, 2θ from 10° to 90°, in order of rising 2θ:
- 21.1°, I = 44.0
- 27.7°, I = 55.6
- 41.3°, I = 100.0
- 41.5°, I = 98.8
- 46.0°, I = 73.1
- 72.3°, I = 36.8

Structure:
Lattice parameters (Å, degrees): 4.7615 4.7615 4.7615 146.06 136.99 55.88
Atoms (fractional coordinates):
Mn (0.0000, 0.0000, 0.0000)
Co (0.3453, 0.3453, 0.0000)
Pt (0.6731, 0.6731, 0.0000)


No. 8
This entry pairs a crystal structure of PuMnCo with its simulated powder diffraction line list. Radiation: Cu Kα (weighted mean of Kα1 and Kα2). Structure: a GGA-PBE-relaxed structure.
Lines closer than 0.1° are merged.

Most intense lines, 2θ from 10° to 90°, in order of rising 2θ:
- 21.1°, I = 31.9
- 22.0°, I = 41.0
- 32.5°, I = 35.4
- 36.4°, I = 100.0
- 39.6°, I = 75.2
- 41.1°, I = 64.1

Structure:
Lattice parameters (Å, degrees): 4.9950 4.9950 4.9950 118.10 113.08 97.88
Atoms (fractional coordinates):
Pu (0.3692, 0.1192, 0.2500)
Pu (0.6308, 0.8808, 0.7500)
Mn (0.0000, 0.5000, 0.5000)
Mn (0.5000, 0.5000, 0.0000)
Co (0.0000, 0.0000, 0.5000)
Co (0.0000, 0.5000, 0.0000)